[1]
The following is a computed powder XRD pattern of MnBi2S4. It was derived from a PBE-relaxed structure, using CuKα.
Peak positions follow from Bragg's law for the DFT cell and can differ from measured ones.

The 10 most intense peaks (2θ from 10° to 80°), low angle first:
- 13.56°, rel. 64
- 26.13°, rel. 100
- 27.31°, rel. 37
- 31.64°, rel. 61
- 34.56°, rel. 23
- 41.48°, rel. 39
- 45.35°, rel. 67
- 53.75°, rel. 20
- 63.13°, rel. 26
- 75.11°, rel. 21

Structure:
Lattice parameters (Å, degrees): 7.9992 7.9992 7.9992 60.00 60.00 60.00
Fractional positions:
Mn 0.1250 0.1250 0.1250
Mn 0.8750 0.8750 0.8750
Bi 0.0000 0.5000 0.5000
Bi 0.5000 0.0000 0.5000
Bi 0.5000 0.5000 0.0000
Bi 0.5000 0.5000 0.5000
S 0.2479 0.7507 0.7507
S 0.2493 0.2493 0.2493
S 0.2493 0.2493 0.7521
S 0.2493 0.7521 0.2493
S 0.7507 0.2479 0.7507
S 0.7507 0.7507 0.2479
S 0.7507 0.7507 0.7507
S 0.7521 0.2493 0.2493

=====

[2]
The following is a computed powder XRD pattern of MnTlBiSe4. It was derived from a PBE-relaxed structure, using CuKα.
Peak positions follow from Bragg's law for the DFT cell and can differ from measured ones.

The 10 most intense peaks (2θ from 10° to 80°), low angle first:
- 18.40°, rel. 100
- 26.09°, rel. 67
- 28.24°, rel. 78
- 28.78°, rel. 66
- 31.19°, rel. 64
- 31.68°, rel. 69
- 34.01°, rel. 51
- 34.17°, rel. 60
- 37.30°, rel. 66
- 41.74°, rel. 62

Structure:
Lattice parameters (Å, degrees): 7.1028 6.8314 8.6519 90.00 106.66 90.00
Fractional positions:
Mn 0.2055 0.2500 0.3075
Mn 0.7945 0.7500 0.6925
Tl 0.2684 0.7500 0.0668
Tl 0.7316 0.2500 0.9332
Bi 0.2503 0.7500 0.5714
Bi 0.7497 0.2500 0.4286
Se 0.0261 0.0003 0.7316
Se 0.0261 0.4997 0.7316
Se 0.4115 0.2500 0.5682
Se 0.4241 0.2500 0.1501
Se 0.5759 0.7500 0.8499
Se 0.5885 0.7500 0.4318
Se 0.9739 0.9997 0.2684
Se 0.9739 0.5003 0.2684

=====

[3]
The following is a computed powder XRD pattern of Sm2Mn3Bi6. It was derived from a PBE-relaxed structure, using CuKα.
Peak positions follow from Bragg's law for the DFT cell and can differ from measured ones.

The 10 most intense peaks (2θ from 10° to 80°), low angle first:
- 27.93°, rel. 59
- 29.02°, rel. 38
- 29.14°, rel. 100
- 33.83°, rel. 38
- 34.58°, rel. 42
- 34.96°, rel. 25
- 35.61°, rel. 33
- 37.60°, rel. 15
- 40.53°, rel. 50
- 54.58°, rel. 15

Structure:
Lattice parameters (Å, degrees): 10.3135 4.4515 13.3183 90.00 106.44 90.00
Fractional positions:
Sm 0.0630 0.2500 0.3196
Sm 0.2530 0.7500 0.9804
Sm 0.7470 0.2500 0.0196
Sm 0.9370 0.7500 0.6804
Mn 0.3007 0.7500 0.7117
Mn 0.4570 0.2500 0.3381
Mn 0.4653 0.2500 0.7617
Mn 0.5347 0.7500 0.2383
Mn 0.5430 0.7500 0.6619
Mn 0.6993 0.2500 0.2883
Bi 0.0828 0.2500 0.0781
Bi 0.1181 0.7500 0.5099
Bi 0.1770 0.2500 0.7877
Bi 0.2692 0.7500 0.2552
Bi 0.3792 0.2500 0.5377
Bi 0.4743 0.2500 0.1071
Bi 0.5257 0.7500 0.8929
Bi 0.6208 0.7500 0.4623
Bi 0.7308 0.2500 0.7448
Bi 0.8230 0.7500 0.2123
Bi 0.8819 0.2500 0.4901
Bi 0.9172 0.7500 0.9219

=====

[4]
The following is a computed powder XRD pattern of MnSnBi. It was derived from a PBE-relaxed structure, using CuKα.
Peak positions follow from Bragg's law for the DFT cell and can differ from measured ones.

The 10 most intense peaks (2θ from 10° to 80°), low angle first:
- 28.71°, rel. 48
- 28.93°, rel. 100
- 29.97°, rel. 18
- 36.43°, rel. 20
- 39.83°, rel. 18
- 40.90°, rel. 23
- 41.05°, rel. 22
- 41.31°, rel. 21
- 41.57°, rel. 26
- 42.86°, rel. 28

Structure:
Lattice parameters (Å, degrees): 6.9006 6.9536 6.9636 74.67 89.17 67.81
Fractional positions:
Mn 0.0000 0.0000 0.0000
Mn 0.0309 0.4958 0.4958
Mn 0.4434 0.2141 0.4325
Mn 0.5974 0.2717 0.0647
Sn 0.1738 0.0556 0.6471
Sn 0.6498 0.9900 0.8188
Sn 0.6882 0.4896 0.3136
Sn 0.8634 0.4497 0.8562
Bi 0.1726 0.5457 0.1132
Bi 0.3714 0.9741 0.1810
Bi 0.3894 0.5112 0.6651
Bi 0.8681 0.9466 0.3897

=====

[5]
The following is a computed powder XRD pattern of SrMnBi2. It was derived from a PBE-relaxed structure, using CuKα.
Peak positions follow from Bragg's law for the DFT cell and can differ from measured ones.

The 10 most intense peaks (2θ from 10° to 80°), low angle first:
- 22.53°, rel. 28
- 23.59°, rel. 31
- 27.56°, rel. 40
- 28.37°, rel. 53
- 31.57°, rel. 100
- 38.89°, rel. 51
- 42.21°, rel. 36
- 45.99°, rel. 22
- 48.31°, rel. 23
- 65.88°, rel. 25

Structure:
Lattice parameters (Å, degrees): 11.7804 11.7804 11.7804 157.33 157.33 32.28
Fractional positions:
Sr 0.1198 0.1198 0.0000
Sr 0.8802 0.8802 0.0000
Mn 0.2500 0.7500 0.5000
Mn 0.7500 0.2500 0.5000
Bi 0.0000 0.5000 0.5000
Bi 0.3240 0.3240 0.0000
Bi 0.5000 0.0000 0.5000
Bi 0.6760 0.6760 0.0000

=====

[6]
The following is a computed powder XRD pattern of MnBiTe3. It was derived from a PBE-relaxed structure, using CuKα.
Peak positions follow from Bragg's law for the DFT cell and can differ from measured ones.

The 10 most intense peaks (2θ from 10° to 80°), low angle first:
- 12.13°, rel. 31
- 24.40°, rel. 57
- 27.29°, rel. 54
- 28.20°, rel. 100
- 37.62°, rel. 95
- 39.65°, rel. 25
- 42.85°, rel. 20
- 47.13°, rel. 18
- 49.91°, rel. 21
- 53.71°, rel. 37

Structure:
Lattice parameters (Å, degrees): 7.3105 7.3105 7.2950 90.00 90.00 120.00
Fractional positions:
Mn 0.3333 0.6667 0.0000
Mn 0.6667 0.3333 0.0000
Bi 0.0000 0.0000 0.2130
Bi 0.0000 0.0000 0.7870
Te 0.0000 0.4208 0.7770
Te 0.0000 0.5792 0.2230
Te 0.4208 0.0000 0.7770
Te 0.4208 0.4208 0.2230
Te 0.5792 0.0000 0.2230
Te 0.5792 0.5792 0.7770